Diffraction record for Na3ZrInSi2SO12. The powder X-ray diffraction pattern is theoretical, not measured: it uses a structure optimized by DFT (GGA-PBE) and CuKα.

Main lines, in order of falling intensity (2θ from 5° to 70°):
- 19.1 deg, rel. 100, hkl 2 0 -2
- 19.3 deg, rel. 95, hkl 3 1 -1
- 30.4 deg, rel. 87, hkl 0 2 2
- 33.7 deg, rel. 49, hkl 3 3 -1
- 30.2 deg, rel. 45, hkl 3 1 1
- 33.6 deg, rel. 44, hkl 6 0 -2
- 27.3 deg, rel. 33, hkl 2 2 -2
- 13.5 deg, rel. 32, hkl 1 1 -1
- 22.6 deg, rel. 32, hkl 0 2 1
- 46.1 deg, rel. 28, hkl 6 2 -4
- 45.8 deg, rel. 19, hkl 6 2 0
- 27.1 deg, rel. 19, hkl 4 0 0

Atomic structure:
Unit cell a=16.014 b=9.195 c=9.293 alpha=90.00 beta=124.60 gamma=90.00
Space group Cc (No. 9)
Symmetry-distinct sites (fractional):
1 Na 0.000 0.065 0.000 [4 per cell]
2 Na 0.366 0.070 0.009 [4 per cell]
3 Na 0.428 0.266 0.758 [4 per cell]
4 Zr 0.099 0.239 0.715 [4 per cell]
5 In 0.293 0.257 0.324 [4 per cell]
6 Si 0.199 0.046 0.528 [4 per cell]
7 Si 0.345 0.399 0.033 [4 per cell]
8 S 0.046 0.400 0.020 [4 per cell]
9 O 0.041 0.440 0.538 [4 per cell]
10 O 0.042 0.373 0.859 [4 per cell]
11 O 0.114 0.141 0.537 [4 per cell]
12 O 0.123 0.060 0.856 [4 per cell]
13 O 0.136 0.334 0.175 [4 per cell]
14 O 0.239 0.325 0.867 [4 per cell]
15 O 0.270 0.052 0.202 [4 per cell]
16 O 0.277 0.142 0.509 [4 per cell]
17 O 0.356 0.372 0.215 [4 per cell]
18 O 0.359 0.427 0.517 [4 per cell]
19 O 0.438 0.309 0.038 [4 per cell]
20 O 0.459 0.167 0.511 [4 per cell]